The following is a simulated XRD peak list of La5Sm3Co7CuO24. It was derived from a cell relaxed with PBE+U, using Cu Kα.

Structure:
```
data_La5Sm3Co7CuO24
_symmetry_space_group_name_H-M 'C 1 m 1'
_symmetry_Int_Tables_number 8
_cell_length_a 10.846
_cell_length_b 10.817
_cell_length_c 7.632
_cell_angle_alpha 90.00
_cell_angle_beta 90.06
_cell_angle_gamma 90.00
loop_
_symmetry_equiv_pos_as_xyz
'x,y,z'
'x,-y,z'
'x+1/2,y+1/2,z'
'x+1/2,-y+1/2,z'
loop_
_atom_site_label
_atom_site_type_symbol
_atom_site_fract_x
_atom_site_fract_y
_atom_site_fract_z
La1 La 0.000 0.000 0.000
La2 La 0.000 0.000 0.497
La3 La 0.249 0.249 0.497
La4 La 0.498 0.000 0.497
Sm1 Sm 0.249 0.248 0.001
Sm2 Sm 0.498 0.000 0.001
Co1 Co 0.249 0.500 0.247
Co2 Co 0.250 0.000 0.248
Co3 Co 0.250 0.000 0.751
Co4 Co 0.499 0.250 0.247
Co5 Co 0.499 0.250 0.749
Cu1 Cu 0.249 0.500 0.749
O1 O 0.122 0.373 0.244
O2 O 0.123 0.127 0.752
O3 O 0.123 0.374 0.756
O4 O 0.126 0.126 0.246
O5 O 0.248 0.500 0.003
O6 O 0.248 0.500 0.493
O7 O 0.249 0.000 0.494
O8 O 0.252 0.000 0.004
O9 O 0.374 0.125 0.243
O10 O 0.374 0.372 0.753
O11 O 0.375 0.371 0.246
O12 O 0.377 0.126 0.752
O13 O 0.499 0.247 0.999
O14 O 0.499 0.250 0.498
```

Principal peaks in the range 2θ from 15° to 90°, by angle:
index	2theta	I (rel.)
2 2 0	23.3	18
4 0 0	33.1	100
2 2 2	33.2	50
4 0 2	40.9	25
4 4 0	47.5	32
0 0 4	47.7	16
6 2 2	59.1	19
4 0 4	59.2	38
4 4 4	69.5	23
8 4 0	79.0	8


The following is a simulated XRD peak list of La4Sm4Co7CuO24. It was derived from a cell relaxed with PBE+U, using Cu Kα.

Structure:
```
data_La4Sm4Co7CuO24
_symmetry_space_group_name_H-M 'C 1 m 1'
_symmetry_Int_Tables_number 8
_cell_length_a 10.813
_cell_length_b 10.840
_cell_length_c 7.651
_cell_angle_alpha 90.00
_cell_angle_beta 90.12
_cell_angle_gamma 90.00
loop_
_symmetry_equiv_pos_as_xyz
'x,y,z'
'x,-y,z'
'x+1/2,y+1/2,z'
'x+1/2,-y+1/2,z'
loop_
_atom_site_label
_atom_site_type_symbol
_atom_site_fract_x
_atom_site_fract_y
_atom_site_fract_z
La1 La 0.000 0.000 0.000
La2 La 0.001 0.500 0.498
La3 La 0.250 0.250 0.498
Sm1 Sm 0.000 0.000 0.499
Sm2 Sm 0.001 0.500 0.000
Sm3 Sm 0.251 0.250 0.000
Co1 Co 0.000 0.250 0.249
Co2 Co 0.000 0.250 0.750
Co3 Co 0.250 0.000 0.750
Co4 Co 0.250 0.500 0.749
Co5 Co 0.251 0.500 0.248
Cu1 Cu 0.250 0.000 0.249
O1 O 0.000 0.252 0.000
O2 O 0.001 0.248 0.498
O3 O 0.123 0.127 0.249
O4 O 0.124 0.373 0.246
O5 O 0.126 0.124 0.749
O6 O 0.126 0.376 0.753
O7 O 0.249 0.000 0.503
O8 O 0.249 0.500 0.995
O9 O 0.252 0.000 0.995
O10 O 0.252 0.500 0.503
O11 O 0.375 0.124 0.753
O12 O 0.375 0.376 0.750
O13 O 0.377 0.127 0.244
O14 O 0.377 0.373 0.249
```

Principal peaks in the range 2θ from 15° to 90°, by angle:
index	2theta	I (rel.)
2 2 0	23.2	13
4 0 0	33.1	100
0 4 2	40.8	13
4 4 0	47.5	31
2 6 2	59.1	28
6 2 2	59.2	9
0 8 0	69.4	9
8 0 0	69.5	9
4 8 0	79.1	8
8 4 0	79.2	8


The following is a simulated XRD peak list of La7SmCo6Cu2O24. It was derived from a cell relaxed with PBE+U, using Cu Kα.

Structure:
```
data_La7SmCo6Cu2O24
_symmetry_space_group_name_H-M 'C m m 2'
_symmetry_Int_Tables_number 35
_cell_length_a 10.858
_cell_length_b 10.877
_cell_length_c 7.631
_cell_angle_alpha 90.00
_cell_angle_beta 90.00
_cell_angle_gamma 90.00
loop_
_symmetry_equiv_pos_as_xyz
'x,y,z'
'-x,-y,z'
'-x,y,z'
'x,-y,z'
'x+1/2,y+1/2,z'
'-x+1/2,-y+1/2,z'
'-x+1/2,y+1/2,z'
'x+1/2,-y+1/2,z'
loop_
_atom_site_label
_atom_site_type_symbol
_atom_site_fract_x
_atom_site_fract_y
_atom_site_fract_z
La1 La 0.000 0.000 0.000
La2 La 0.000 0.000 0.499
La3 La 0.000 0.500 0.999
La4 La 0.250 0.250 0.499
La5 La 0.250 0.250 0.999
Sm1 Sm 0.000 0.500 0.496
Co1 Co 0.000 0.251 0.249
Co2 Co 0.249 0.500 0.748
Co3 Co 0.250 0.000 0.249
Cu1 Cu 0.000 0.250 0.748
O1 O 0.000 0.251 0.003
O2 O 0.000 0.253 0.495
O3 O 0.124 0.378 0.251
O4 O 0.126 0.124 0.250
O5 O 0.126 0.378 0.746
O6 O 0.128 0.123 0.749
O7 O 0.247 0.500 0.500
O8 O 0.250 0.000 0.998
```

Principal peaks in the range 2θ from 15° to 90°, by angle:
index	2theta	I (rel.)
2 2 0	23.1	11
4 0 0	33.0	50
2 2 2	33.1	100
4 0 2	40.8	24
4 4 0	47.3	32
0 0 4	47.7	16
6 2 2	59.0	38
4 0 4	59.2	19
4 4 4	69.4	18
8 4 0	78.8	12